Simulated powder XRD pattern of GeH4Br3N for Cu Kα, from DFT lattice parameters and positions (GGA-PBE).
No peak broadening, texture or thermal motion is included.

Atomic structure:
Cell: 7.630 7.644 13.477 Å, 89.69 89.50 89.38°
Space group P1 (No. 1)
Asymmetric unit:
Ge: 0.000 0.000 0.000 [1 per cell]
Ge: 0.038 0.512 0.515 [1 per cell]
Ge: 0.499 0.027 0.035 [1 per cell]
Ge: 0.539 0.510 0.520 [1 per cell]
H: 0.051 0.454 0.845 [1 per cell]
H: 0.106 0.034 0.376 [1 per cell]
H: 0.191 0.624 0.851 [1 per cell]
H: 0.236 0.432 0.912 [1 per cell]
H: 0.245 0.441 0.785 [1 per cell]
H: 0.259 0.956 0.294 [1 per cell]
H: 0.293 0.945 0.419 [1 per cell]
H: 0.294 0.143 0.359 [1 per cell]
H: 0.553 0.582 0.187 [1 per cell]
H: 0.598 0.010 0.664 [1 per cell]
H: 0.687 0.404 0.182 [1 per cell]
H: 0.742 0.593 0.122 [1 per cell]
H: 0.744 0.583 0.249 [1 per cell]
H: 0.758 0.070 0.744 [1 per cell]
H: 0.778 0.880 0.676 [1 per cell]
H: 0.790 0.079 0.618 [1 per cell]
Br: 0.217 0.934 0.856 [1 per cell]
Br: 0.302 0.298 0.066 [1 per cell]
Br: 0.308 0.812 0.141 [1 per cell]
Br: 0.349 0.447 0.362 [1 per cell]
Br: 0.360 0.304 0.637 [1 per cell]
Br: 0.364 0.791 0.568 [1 per cell]
Br: 0.710 0.092 0.179 [1 per cell]
Br: 0.808 0.215 0.895 [1 per cell]
Br: 0.810 0.730 0.968 [1 per cell]
Br: 0.842 0.578 0.674 [1 per cell]
Br: 0.858 0.715 0.398 [1 per cell]
Br: 0.871 0.228 0.469 [1 per cell]
N: 0.182 0.488 0.848 [1 per cell]
N: 0.239 0.019 0.361 [1 per cell]
N: 0.682 0.540 0.185 [1 per cell]
N: 0.732 0.010 0.676 [1 per cell]

Largest 8 diffraction maxima, by intensity, 2θ = 10–80°:
two_theta, d [Å], I/Imax
13.3, 6.648, 100
25.9, 3.445, 47
13.1, 6.738, 46
29.1, 3.070, 37
29.4, 3.043, 35
33.0, 2.714, 31
35.4, 2.536, 30
23.3, 3.815, 26



Simulated powder XRD pattern of NaGeH2Br for Cu Kα, from DFT lattice parameters and positions (GGA-PBE).
No peak broadening, texture or thermal motion is included.

Atomic structure:
Cell: 4.070 4.070 5.773 Å, 90.00 90.00 90.00°
Space group P4/mmm (No. 123)
Asymmetric unit:
Na: 0.000 0.000 0.000 [1 per cell]
Ge: 0.500 0.500 0.000 [1 per cell]
H: 0.000 0.500 0.500 [2 per cell]
Br: 0.500 0.500 0.500 [1 per cell]

Largest 8 diffraction maxima, by intensity, 2θ = 10–80°:
two_theta, d [Å], I/Imax
31.0, 2.881, 100
21.8, 4.070, 88
44.5, 2.037, 73
38.2, 2.354, 41
55.2, 1.663, 26
60.1, 1.540, 21
73.6, 1.287, 21
50.1, 1.820, 18



Simulated powder XRD pattern of HgGe2Br4 for Cu Kα, from DFT lattice parameters and positions (GGA-PBE).
No peak broadening, texture or thermal motion is included.

Atomic structure:
Cell: 11.712 8.220 7.110 Å, 90.00 116.14 90.00°
Space group Cm (No. 8)
Asymmetric unit:
Hg: 0.000 0.000 0.000 [2 per cell]
Ge: 0.342 0.259 0.680 [4 per cell]
Br: 0.169 0.257 0.777 [4 per cell]
Br: 0.259 0.000 0.398 [2 per cell]
Br: 0.267 0.500 0.411 [2 per cell]

Largest 8 diffraction maxima, by intensity, 2θ = 10–80°:
two_theta, d [Å], I/Imax
13.7, 6.476, 100
25.8, 3.455, 93
16.5, 5.386, 84
35.6, 2.521, 75
16.6, 5.325, 70
27.3, 3.267, 65
13.9, 6.383, 53
34.3, 2.615, 51



Simulated powder XRD pattern of HgGe3Br12 for Cu Kα, from DFT lattice parameters and positions (GGA-PBE).
No peak broadening, texture or thermal motion is included.

Atomic structure:
Cell: 13.3935 13.3935 34.0393 Å, 90.00 90.00 120.00°
Space group R3c (No. 161, hexagonal axes)
Asymmetric unit:
Hg: 0.0000 0.0000 0.0000 [6 per cell]
Ge: 0.0226 0.3428 0.3876 [18 per cell]
Br: 0.0611 0.3425 0.9928 [18 per cell]
Br: 0.1415 0.4638 0.0955 [18 per cell]
Br: 0.1711 0.3975 0.7465 [18 per cell]
Br: 0.1986 0.0841 0.7162 [18 per cell]

Largest 8 diffraction maxima, by intensity, 2θ = 10–80°:
two_theta, d [Å], I/Imax
15.4, 5.767, 100
12.9, 6.861, 39
27.9, 3.195, 38
29.2, 3.053, 34
23.0, 3.866, 29
16.1, 5.490, 22
27.3, 3.261, 19
20.5, 4.336, 18



Simulated powder XRD pattern of GeIBr3 for Cu Kα, from DFT lattice parameters and positions (GGA-PBE).
No peak broadening, texture or thermal motion is included.

Atomic structure:
Cell: 7.062 7.136 9.651 Å, 89.92 89.99 89.98°
Space group P1 (No. 1)
Asymmetric unit:
Ge: 0.000 0.000 0.000 [1 per cell]
Ge: 0.497 0.347 0.499 [1 per cell]
I: 0.079 0.343 0.995 [1 per cell]
I: 0.577 0.004 0.504 [1 per cell]
Br: 0.126 0.851 0.807 [1 per cell]
Br: 0.129 0.858 0.195 [1 per cell]
Br: 0.173 0.397 0.499 [1 per cell]
Br: 0.624 0.488 0.303 [1 per cell]
Br: 0.625 0.496 0.691 [1 per cell]
Br: 0.676 0.950 0.002 [1 per cell]

Largest 8 diffraction maxima, by intensity, 2θ = 10–80°:
two_theta, d [Å], I/Imax
25.6, 3.479, 100
15.5, 5.699, 93
25.2, 3.531, 49
25.0, 3.568, 36
22.2, 3.998, 29
28.0, 3.185, 28
44.7, 2.028, 27
42.4, 2.134, 26



Simulated powder XRD pattern of Ge2IBr3 for Cu Kα, from DFT lattice parameters and positions (GGA-PBE).
No peak broadening, texture or thermal motion is included.

Atomic structure:
Cell: 18.544 4.121 14.282 Å, 90.00 127.49 90.00°
Space group C2/m (No. 12)
Asymmetric unit:
Ge: 0.243 0.000 0.373 [4 per cell]
Ge: 0.249 0.500 0.123 [4 per cell]
I: 0.120 0.500 0.194 [4 per cell]
Br: 0.141 0.000 0.950 [4 per cell]
Br: 0.143 0.000 0.457 [4 per cell]
Br: 0.147 0.500 0.712 [4 per cell]

Largest 8 diffraction maxima, by intensity, 2θ = 10–80°:
two_theta, d [Å], I/Imax
29.5, 3.025, 100
12.0, 7.357, 66
44.0, 2.060, 51
30.4, 2.940, 47
41.8, 2.161, 33
26.4, 3.375, 25
40.5, 2.228, 18
54.4, 1.687, 17



Simulated powder XRD pattern of Ge3IBr5 for Cu Kα, from DFT lattice parameters and positions (GGA-PBE).
No peak broadening, texture or thermal motion is included.

Atomic structure:
Cell: 13.052 9.511 11.085 Å, 90.00 118.05 90.00°
Space group C2/m (No. 12)
Asymmetric unit:
Ge: 0.000 0.000 0.000 [2 per cell]
Ge: 0.000 0.000 0.500 [2 per cell]
Ge: 0.155 0.500 0.183 [4 per cell]
Ge: 0.170 0.500 0.683 [4 per cell]
I: 0.100 0.000 0.304 [4 per cell]
Br: 0.000 0.298 0.000 [4 per cell]
Br: 0.069 0.500 0.348 [4 per cell]
Br: 0.165 0.200 0.667 [8 per cell]
Br: 0.235 0.000 0.055 [4 per cell]

Largest 8 diffraction maxima, by intensity, 2θ = 10–80°:
two_theta, d [Å], I/Imax
28.4, 3.139, 100
27.9, 3.199, 88
18.7, 4.756, 58
27.3, 3.261, 52
45.0, 2.015, 46
44.5, 2.038, 46
17.4, 5.093, 38
43.3, 2.089, 37



Simulated powder XRD pattern of KGeI2Br for Cu Kα, from DFT lattice parameters and positions (GGA-PBE).
No peak broadening, texture or thermal motion is included.

Atomic structure:
Cell: 9.295 4.518 9.372 Å, 90.00 101.55 90.00°
Space group P2_1/m (No. 11)
Asymmetric unit:
K: 0.158 0.250 0.304 [2 per cell]
Ge: 0.329 0.750 0.833 [2 per cell]
I: 0.131 0.250 0.898 [2 per cell]
I: 0.453 0.750 0.200 [2 per cell]
Br: 0.195 0.750 0.563 [2 per cell]

Largest 8 diffraction maxima, by intensity, 2θ = 10–80°:
two_theta, d [Å], I/Imax
28.1, 3.171, 100
27.8, 3.207, 45
43.8, 2.069, 37
27.7, 3.220, 35
23.4, 3.805, 32
39.9, 2.259, 29
35.2, 2.553, 27
24.8, 3.587, 24



Simulated powder XRD pattern of Na2GeI2Br2 for Cu Kα, from DFT lattice parameters and positions (GGA-PBE).
No peak broadening, texture or thermal motion is included.

Atomic structure:
Cell: 4.429 7.844 8.193 Å, 118.26 105.55 90.29°
Space group P-1 (No. 2)
Asymmetric unit:
Na: 0.217 0.170 0.428 [2 per cell]
Ge: 0.500 0.500 0.000 [1 per cell]
I: 0.127 0.475 0.256 [2 per cell]
Br: 0.379 0.091 0.761 [2 per cell]

Largest 8 diffraction maxima, by intensity, 2θ = 10–80°:
two_theta, d [Å], I/Imax
26.5, 3.365, 100
26.6, 3.354, 42
13.0, 6.826, 39
26.1, 3.412, 36
35.0, 2.566, 34
46.0, 1.971, 30
25.9, 3.434, 27
40.7, 2.214, 25